Record 1
Theoretical X-ray diffraction stick pattern
Compound: NaCu2S2O10
Radiation: copper Kα
Structure: a structure optimized by DFT (PBE)

Cell and atoms:
Lattice parameters (Å, degrees): 5.404 5.404 8.237 115.71 115.71 68.21
Fractional positions:
Na 0.000 0.000 0.000
Cu 0.000 0.500 0.500
Cu 0.500 0.000 0.500
S 0.418 0.418 0.207
S 0.582 0.582 0.793
O 0.168 0.168 0.543
O 0.261 0.673 0.739
O 0.302 0.302 0.001
O 0.321 0.321 0.307
O 0.327 0.739 0.261
O 0.673 0.261 0.739
O 0.679 0.679 0.693
O 0.698 0.698 0.999
O 0.739 0.327 0.261
O 0.832 0.832 0.457

The 8 most intense peaks (2θ from 15° to 90°), low angle first:
| 2θ/deg | Rel. int. |
| --- | --- |
| 18.71 | 28 |
| 19.85 | 28 |
| 23.83 | 100 |
| 26.21 | 42 |
| 32.07 | 42 |
| 32.18 | 50 |
| 35.79 | 56 |
| 38.25 | 28 |

=====

Record 2
Theoretical X-ray diffraction stick pattern
Compound: ZnH2O2
Radiation: copper Kα
Structure: a structure optimized by DFT (PBE)

Cell and atoms:
Lattice parameters (Å, degrees): 5.438 5.958 6.338 90.00 90.00 90.00
Fractional positions:
Zn 0.116 0.049 0.288
Zn 0.384 0.951 0.788
Zn 0.616 0.451 0.712
Zn 0.884 0.549 0.212
H 0.165 0.599 0.780
H 0.183 0.276 0.602
H 0.317 0.724 0.102
H 0.335 0.401 0.280
H 0.665 0.901 0.220
H 0.683 0.224 0.398
H 0.817 0.776 0.898
H 0.835 0.099 0.720
O 0.148 0.114 0.603
O 0.183 0.365 0.199
O 0.317 0.635 0.699
O 0.352 0.886 0.103
O 0.648 0.386 0.397
O 0.683 0.135 0.801
O 0.817 0.865 0.301
O 0.852 0.614 0.897

The 8 most intense peaks (2θ from 15° to 90°), low angle first:
| 2θ/deg | Rel. int. |
| --- | --- |
| 21.53 | 100 |
| 22.13 | 69 |
| 26.27 | 37 |
| 28.16 | 55 |
| 30.00 | 28 |
| 37.22 | 40 |
| 39.09 | 45 |
| 57.34 | 24 |

=====

Record 3
Theoretical X-ray diffraction stick pattern
Compound: U8FeSe17
Radiation: copper Kα
Structure: a structure optimized by DFT (PBE)

Cell and atoms:
Lattice parameters (Å, degrees): 8.213 8.213 10.828 99.51 99.51 64.28
Fractional positions:
U 0.181 0.700 0.799
U 0.202 0.202 0.957
U 0.300 0.819 0.201
U 0.319 0.319 0.485
U 0.681 0.681 0.515
U 0.700 0.181 0.799
U 0.798 0.798 0.043
U 0.819 0.300 0.201
Fe 0.000 0.000 0.500
Se 0.000 0.000 0.000
Se 0.056 0.675 0.527
Se 0.057 0.057 0.725
Se 0.181 0.566 0.036
Se 0.214 0.214 0.223
Se 0.301 0.301 0.745
Se 0.325 0.944 0.473
Se 0.434 0.819 0.964
Se 0.479 0.479 0.330
Se 0.521 0.521 0.670
Se 0.566 0.181 0.036
Se 0.675 0.056 0.527
Se 0.699 0.699 0.255
Se 0.786 0.786 0.777
Se 0.819 0.434 0.964
Se 0.943 0.943 0.275
Se 0.944 0.325 0.473

The 8 most intense peaks (2θ from 15° to 90°), low angle first:
| 2θ/deg | Rel. int. |
| --- | --- |
| 24.19 | 100 |
| 24.76 | 77 |
| 33.76 | 99 |
| 33.89 | 68 |
| 35.69 | 55 |
| 38.82 | 71 |
| 41.33 | 67 |
| 44.11 | 64 |

=====

Record 4
Theoretical X-ray diffraction stick pattern
Compound: KCu3SnSe4
Radiation: copper Kα
Structure: a structure optimized by DFT (PBE)

Cell and atoms:
Lattice parameters (Å, degrees): 6.282 6.282 6.282 90.00 90.00 90.00
Fractional positions:
K 0.000 0.000 0.000
Cu 0.000 0.500 0.500
Cu 0.500 0.000 0.500
Cu 0.500 0.500 0.000
Sn 0.500 0.500 0.500
Se 0.271 0.271 0.729
Se 0.271 0.729 0.271
Se 0.729 0.271 0.271
Se 0.729 0.729 0.729

The 8 most intense peaks (2θ from 15° to 90°), low angle first:
| 2θ/deg | Rel. int. |
| --- | --- |
| 19.99 | 14 |
| 24.55 | 66 |
| 40.62 | 100 |
| 43.21 | 14 |
| 48.04 | 27 |
| 52.53 | 16 |
| 58.80 | 15 |
| 73.91 | 29 |

=====

Record 5
Theoretical X-ray diffraction stick pattern
Compound: K2Nd4Ge4O17
Radiation: copper Kα
Structure: a structure optimized by DFT (PBE)

Cell and atoms:
Lattice parameters (Å, degrees): 6.885 18.462 7.104 90.00 115.17 90.00
Fractional positions:
K 0.221 0.250 0.445
K 0.227 0.250 0.997
K 0.773 0.750 0.003
K 0.779 0.750 0.555
Nd 0.213 0.037 0.271
Nd 0.213 0.463 0.271
Nd 0.276 0.623 0.665
Nd 0.276 0.877 0.665
Nd 0.724 0.123 0.335
Nd 0.724 0.377 0.335
Nd 0.787 0.537 0.729
Nd 0.787 0.963 0.729
Ge 0.280 0.060 0.764
Ge 0.280 0.440 0.764
Ge 0.295 0.657 0.132
Ge 0.295 0.843 0.132
Ge 0.705 0.157 0.868
Ge 0.705 0.343 0.868
Ge 0.720 0.560 0.236
Ge 0.720 0.940 0.236
O 0.082 0.648 0.889
O 0.082 0.852 0.889
O 0.093 0.094 0.527
O 0.093 0.406 0.527
O 0.160 0.018 0.912
O 0.160 0.482 0.912
O 0.179 0.750 0.545
O 0.270 0.604 0.322
O 0.270 0.896 0.322
O 0.320 0.750 0.752
O 0.369 0.750 0.217
O 0.383 0.144 0.302
O 0.383 0.356 0.302
O 0.410 0.505 0.669
O 0.410 0.995 0.669
O 0.471 0.129 0.917
O 0.471 0.371 0.917
O 0.529 0.629 0.083
O 0.529 0.871 0.083
O 0.590 0.005 0.331
O 0.590 0.495 0.331
O 0.617 0.644 0.698
O 0.617 0.856 0.698
O 0.631 0.250 0.783
O 0.680 0.250 0.248
O 0.730 0.104 0.678
O 0.730 0.396 0.678
O 0.821 0.250 0.455
O 0.840 0.518 0.088
O 0.840 0.982 0.088
O 0.907 0.594 0.473
O 0.907 0.906 0.473
O 0.918 0.148 0.111
O 0.918 0.352 0.111

The 8 most intense peaks (2θ from 15° to 90°), low angle first:
| 2θ/deg | Rel. int. |
| --- | --- |
| 24.48 | 17 |
| 27.74 | 26 |
| 28.11 | 100 |
| 28.65 | 48 |
| 29.42 | 19 |
| 30.70 | 19 |
| 31.87 | 27 |
| 37.02 | 17 |

=====

Record 6
Theoretical X-ray diffraction stick pattern
Compound: V11ReB8
Radiation: copper Kα
Structure: a structure optimized by DFT (PBE)

Cell and atoms:
Lattice parameters (Å, degrees): 5.751 3.030 11.504 90.00 90.01 90.00
Fractional positions:
V 0.000 0.000 0.000
V 0.178 0.500 0.161
V 0.180 0.500 0.664
V 0.322 0.500 0.912
V 0.327 0.500 0.409
V 0.500 0.000 0.249
V 0.500 0.000 0.751
V 0.673 0.500 0.591
V 0.678 0.500 0.088
V 0.820 0.500 0.336
V 0.822 0.500 0.839
Re 0.000 0.000 0.500
B 0.112 0.000 0.305
B 0.112 0.000 0.807
B 0.389 0.000 0.055
B 0.389 0.000 0.556
B 0.611 0.000 0.444
B 0.611 0.000 0.945
B 0.888 0.000 0.193
B 0.888 0.000 0.695

The 8 most intense peaks (2θ from 15° to 90°), low angle first:
| 2θ/deg | Rel. int. |
| --- | --- |
| 15.41 | 31 |
| 21.85 | 40 |
| 34.88 | 43 |
| 36.99 | 65 |
| 43.38 | 100 |
| 44.56 | 31 |
| 46.30 | 56 |
| 50.15 | 52 |

=====

Record 7
Theoretical X-ray diffraction stick pattern
Compound: YSn3
Radiation: copper Kα
Structure: a structure optimized by DFT (PBE)

Cell and atoms:
Lattice parameters (Å, degrees): 5.403 5.403 5.403 60.00 60.00 60.00
Fractional positions:
Y 0.000 0.000 0.000
Sn 0.250 0.250 0.250
Sn 0.500 0.500 0.500
Sn 0.750 0.750 0.750

The 8 most intense peaks (2θ from 15° to 90°), low angle first:
| 2θ/deg | Rel. int. |
| --- | --- |
| 20.13 | 1 |
| 33.16 | 100 |
| 39.10 | 1 |
| 47.60 | 18 |
| 59.24 | 39 |
| 69.60 | 12 |
| 79.29 | 17 |
| 88.69 | 5 |

=====

Record 8
Theoretical X-ray diffraction stick pattern
Compound: SrHfS3
Radiation: copper Kα
Structure: a structure optimized by DFT (PBE)

Cell and atoms:
Lattice parameters (Å, degrees): 7.114 9.778 6.784 90.00 90.00 90.00
Fractional positions:
Sr 0.074 0.250 0.023
Sr 0.426 0.750 0.523
Sr 0.574 0.250 0.477
Sr 0.926 0.750 0.977
Hf 0.000 0.000 0.500
Hf 0.000 0.500 0.500
Hf 0.500 0.000 0.000
Hf 0.500 0.500 0.000
S 0.020 0.750 0.407
S 0.201 0.548 0.802
S 0.201 0.952 0.802
S 0.299 0.048 0.302
S 0.299 0.452 0.302
S 0.480 0.250 0.907
S 0.520 0.750 0.093
S 0.701 0.548 0.698
S 0.701 0.952 0.698
S 0.799 0.048 0.198
S 0.799 0.452 0.198
S 0.980 0.250 0.593

The 8 most intense peaks (2θ from 15° to 90°), low angle first:
| 2θ/deg | Rel. int. |
| --- | --- |
| 18.09 | 48 |
| 25.03 | 23 |
| 25.72 | 100 |
| 26.27 | 24 |
| 36.61 | 33 |
| 36.77 | 21 |
| 46.03 | 31 |
| 52.86 | 18 |